Record 1
Diffraction record for ErPH5CO7. The powder XRD pattern is calculated, not measured: it uses the PBE geometry in Alexandria and CuKα.

Largest 12 diffraction maxima, sorted by position, 15° ≤ 2θ ≤ 90°:
d_spacing, two_theta, I/Imax, index
4.646, 19.10, 57, 1 -1 0
4.534, 19.58, 69, 1 0 1
4.475, 19.84, 91, 1 1 -1
3.527, 25.25, 82, 0 0 2
3.422, 26.04, 78, 0 2 -1
3.218, 27.72, 83, 0 2 0
2.956, 30.24, 59, 0 2 -2
2.929, 30.52, 41, 2 -1 0
2.895, 30.88, 100, 2 1 -1
2.773, 32.29, 40, 2 -1 1
2.641, 33.95, 59, -2 1 1
2.514, 35.71, 38, 0 1 -3

Structural model:
a b c (Å): 6.4871 6.8834 7.5793
angles (deg): 110.66 95.49 90.09
Space group P-1 (No. 2)
Asymmetric unit:
Er 0.1256 0.2216 0.4365 [2 per cell]
P 0.3297 0.7436 0.4798 [2 per cell]
H 0.1646 0.5158 0.8164 [2 per cell]
H 0.2791 0.3214 0.8553 [2 per cell]
H 0.3818 0.7017 0.2949 [2 per cell]
H 0.4468 0.8375 0.0631 [2 per cell]
H 0.4545 0.2415 0.1296 [2 per cell]
C 0.0656 0.9078 0.0008 [2 per cell]
O 0.0564 0.7542 0.8458 [2 per cell]
O 0.1718 0.9249 0.1542 [2 per cell]
O 0.1788 0.5676 0.4754 [2 per cell]
O 0.1957 0.9397 0.5355 [2 per cell]
O 0.2002 0.3680 0.7585 [2 per cell]
O 0.4272 0.2206 0.9941 [2 per cell]
O 0.4674 0.2320 0.3923 [2 per cell]

Record 2
Diffraction record for La2PmNd3P6. The powder XRD pattern is calculated, not measured: it uses the PBE geometry in Alexandria and CuKα.

Largest 10 diffraction maxima, sorted by position, 15° ≤ 2θ ≤ 90°:
d_spacing, two_theta, I/Imax, index
3.428, 25.99, 78, 2 0 0
2.969, 30.10, 100, 1 3 1
2.099, 43.09, 74, 2 0 2
1.790, 51.02, 39, 3 3 1
1.714, 53.46, 26, 4 0 0
1.484, 62.58, 12, 2 6 2
1.362, 68.94, 16, 4 0 2
1.328, 71.00, 33, 4 6 0
1.212, 79.00, 25, 5 3 1
1.143, 84.86, 12, 6 0 0

Structural model:
a b c (Å): 7.2714 12.5932 7.2723
angles (deg): 90.00 109.45 90.00
Space group C2/m (No. 12)
Asymmetric unit:
La 0.0000 0.1665 0.0000 [4 per cell]
Pm 0.0000 0.5000 0.0000 [2 per cell]
Nd 0.0000 0.0000 0.5000 [2 per cell]
Nd 0.0000 0.3330 0.5000 [4 per cell]
P 0.2457 0.5000 0.7476 [4 per cell]
P 0.2489 0.3351 0.2520 [8 per cell]

Record 3
Diffraction record for LiNpPa2N6. The powder XRD pattern is calculated, not measured: it uses the PBE geometry in Alexandria and CuKα.

Largest 12 diffraction maxima, sorted by position, 15° ≤ 2θ ≤ 90°:
d_spacing, two_theta, I/Imax, index
4.863, 18.24, 19, 0 0 3
4.809, 18.45, 39, 1 0 1
4.176, 21.27, 41, 0 1 2
2.966, 30.14, 89, 1 0 4
2.941, 30.39, 100, 1 1 0
2.517, 35.68, 21, 2 -1 3
2.088, 43.33, 37, 0 2 4
1.874, 48.58, 32, 2 -1 6
1.703, 53.84, 40, 3 -1 4
1.698, 54.00, 26, 3 0 0
1.470, 63.24, 14, 2 2 0
1.317, 71.63, 16, 1 3 4

Structural model:
a b c (Å): 5.8819 5.8819 14.5897
angles (deg): 90.00 90.00 120.00
Space group R3 (No. 146, hexagonal axes)
Asymmetric unit:
Li 0.0000 0.0000 0.0000 [3 per cell]
Np 0.0000 0.0000 0.4902 [3 per cell]
Pa 0.0000 0.0000 0.2725 [3 per cell]
Pa 0.0000 0.0000 0.7813 [3 per cell]
N 0.0217 0.7454 0.3934 [9 per cell]
N 0.0362 0.3490 0.5481 [9 per cell]